The following is a calculated X-ray diffraction stick pattern of Rb4SbO5. It was derived from a DFT-relaxed cell (GGA-PBE, Alexandria), using Cu Kα, 1.54184 Å.
Intensities are scaled so that the largest is 100.

Peak list (10 most intense, 2θ = 15–90°, in order of falling intensity)
d/Å, I (rel.), hkl
3.234, 100, 2 1 1
2.693, 45, 1 3 0
2.022, 34, 1 3 2
3.064, 33, 0 0 2
1.641, 32, 5 0 1
1.800, 21, 2 1 3
1.308, 15, 5 0 3
1.617, 14, 4 2 2
1.904, 14, 4 2 0
1.121, 8, 5 5 2

Structure:
```
data_Rb4SbO5
_chemical_formula_sum 'Rb8 Sb2 O10'
_space_group_name_H-M_alt 'I 4'
_space_group_IT_number 79
_space_group_name_Hall 'I 4'
_cell_length_a 8.515
_cell_length_b 8.515
_cell_length_c 6.127
_cell_angle_alpha 90.00
_cell_angle_beta 90.00
_cell_angle_gamma 90.00
loop_
_atom_site_label
_atom_site_type_symbol
_atom_site_fract_x
_atom_site_fract_y
_atom_site_fract_z
Rb1 Rb 0.091 0.293 0.000
Sb1 Sb 0.000 0.000 0.467
O1 O 0.000 0.000 0.152
O2 O 0.069 0.217 0.541
```